(1)
The following is a calculated powder X-ray diffraction pattern of K2InSi2O6. It was derived from a cell relaxed with GGA-PBE, using a wavelength of 1.5418 Å.
Lines closer than 0.1° are merged.

Main lines, most intense first (5° ≤ 2θ ≤ 70°):
d [Å]	Rel. int.
2.851	100
2.876	85
4.322	61
2.161	43
4.789	36
1.656	31
3.274	31
1.603	27

```
K2InSi2O6
1.0
2.8763 1.6607 5.7929
-2.8763 1.6607 5.7929
0.0000 -3.3213 5.7929
K In Si O
2 1 2 6
direct
0.2131 0.2131 0.2131
0.7869 0.7869 0.7869
0.0000 0.0000 0.0000
0.4256 0.4256 0.4256
0.5744 0.5744 0.5744
0.2502 0.2502 0.7302
0.2502 0.7302 0.2502
0.2698 0.7498 0.7498
0.7302 0.2502 0.2502
0.7498 0.2698 0.7498
0.7498 0.7498 0.2698
```



(2)
The following is a calculated powder X-ray diffraction pattern of BaH4O6. It was derived from a cell relaxed with GGA-PBE, using a wavelength of 1.5418 Å.
Lines closer than 0.1° are merged.

Main lines, most intense first (5° ≤ 2θ ≤ 70°):
d [Å]	Rel. int.
4.302	100
4.542	87
2.529	86
2.779	61
6.089	46
4.419	38
3.045	32
2.405	32

```
BaH4O6
1.0
4.2131 -4.4187 0.0000
4.2131 4.4187 0.0000
-0.4823 0.0000 6.4177
Ba H O
2 8 12
direct
0.1954 0.8046 0.7500
0.8046 0.1954 0.2500
0.0144 0.6686 0.2349
0.2621 0.3531 0.0728
0.3314 0.9856 0.2651
0.3531 0.2621 0.5728
0.6469 0.7379 0.4272
0.6686 0.0144 0.7349
0.7379 0.6469 0.9272
0.9856 0.3314 0.7651
0.0458 0.2273 0.6414
0.0938 0.5291 0.0776
0.2255 0.3696 0.5680
0.2273 0.0458 0.1414
0.3696 0.2255 0.0680
0.4709 0.9062 0.4224
0.5291 0.0938 0.5776
0.6304 0.7745 0.9320
0.7727 0.9542 0.8586
0.7745 0.6304 0.4320
0.9062 0.4709 0.9224
0.9542 0.7727 0.3586
```



(3)
The following is a calculated powder X-ray diffraction pattern of Dy4BiS2. It was derived from a cell relaxed with GGA-PBE, using a wavelength of 1.5418 Å.
Lines closer than 0.1° are merged.

Main lines, most intense first (5° ≤ 2θ ≤ 70°):
d [Å]	Rel. int.
2.900	100
2.965	66
2.929	59
2.713	32
1.682	26
2.042	25
2.919	23
2.200	22

```
Dy4BiS2
1.0
2.0424 -6.4935 0.0000
2.0424 6.4935 0.0000
0.0000 0.0000 13.3267
Dy Bi S
8 2 4
direct
0.0000 0.0000 0.0000
0.0000 0.0000 0.5000
0.2609 0.7391 0.6141
0.2609 0.7391 0.8859
0.4296 0.5704 0.2500
0.5704 0.4296 0.7500
0.7391 0.2609 0.1141
0.7391 0.2609 0.3859
0.1100 0.8900 0.2500
0.8900 0.1100 0.7500
0.3684 0.6315 0.0581
0.3684 0.6315 0.4419
0.6315 0.3684 0.5581
0.6315 0.3684 0.9419
```



(4)
The following is a calculated powder X-ray diffraction pattern of Pm2CdCl8. It was derived from a cell relaxed with GGA-PBE, using a wavelength of 1.5418 Å.
Lines closer than 0.1° are merged.

Main lines, most intense first (5° ≤ 2θ ≤ 70°):
d [Å]	Rel. int.
6.852	100
2.856	31
2.751	19
3.467	16
4.036	15
2.211	14
2.170	13
2.221	13

```
Pm2CdCl8
1.0
10.1590 -1.9749 0.0000
10.1590 1.9749 0.0000
-1.1841 0.0000 8.1992
Pm Cd Cl
2 1 8
direct
0.1574 0.1574 0.3303
0.8426 0.8426 0.6697
0.5000 0.5000 0.0000
0.0115 0.0115 0.2161
0.2390 0.2390 0.6584
0.3659 0.3659 0.9281
0.3944 0.3944 0.5002
0.6056 0.6056 0.4998
0.6341 0.6341 0.0719
0.7610 0.7610 0.3416
0.9885 0.9885 0.7839
```



(5)
The following is a calculated powder X-ray diffraction pattern of BaPd3F9. It was derived from a cell relaxed with GGA-PBE, using a wavelength of 1.5418 Å.
Lines closer than 0.1° are merged.

Main lines, most intense first (5° ≤ 2θ ≤ 70°):
d [Å]	Rel. int.
3.485	100
4.181	34
5.293	21
2.647	18
2.254	17
1.855	17
2.784	15
1.780	15

```
BaPd3F9
1.0
4.1811 -6.5482 0.0000
4.1811 6.5482 0.0000
0.0000 0.0000 8.0175
Ba Pd F
2 6 18
direct
0.0983 0.9017 0.7500
0.9017 0.0983 0.2500
0.2015 0.7985 0.2500
0.2891 0.4975 0.8912
0.4975 0.2891 0.1088
0.5025 0.7109 0.6088
0.7109 0.5025 0.3912
0.7985 0.2015 0.7500
0.0508 0.4770 0.7791
0.0792 0.9045 0.0779
0.0955 0.9208 0.4221
0.2676 0.2919 0.2130
0.2802 0.7073 0.4805
0.2919 0.2676 0.7870
0.2927 0.7198 0.0195
0.4691 0.4691 0.5000
0.4770 0.0508 0.2209
0.5230 0.9492 0.7209
0.5309 0.5309 0.0000
0.7073 0.2802 0.5195
0.7081 0.7324 0.2870
0.7198 0.2927 0.9805
0.7324 0.7081 0.7130
0.9045 0.0792 0.9221
0.9208 0.0955 0.5779
0.9492 0.5230 0.2791
```



(6)
The following is a calculated powder X-ray diffraction pattern of AcCe2Ge4. It was derived from a cell relaxed with GGA-PBE, using a wavelength of 1.5418 Å.
Lines closer than 0.1° are merged.

Main lines, most intense first (5° ≤ 2θ ≤ 70°):
d [Å]	Rel. int.
2.913	100
2.891	40
2.270	26
2.565	25
3.459	23
2.251	21
3.125	21
2.077	20

```
AcCe2Ge4
1.0
-2.0767 2.2704 9.3745
2.0767 -2.2704 9.3745
2.0767 2.2704 -9.3745
Ac Ce Ge
1 2 4
direct
0.0000 0.0000 0.0000
0.1813 0.6813 0.5000
0.8187 0.3187 0.5000
0.3417 0.8417 0.5000
0.4295 0.4295 0.0000
0.5705 0.5705 0.0000
0.6583 0.1583 0.5000
```



(7)
The following is a calculated powder X-ray diffraction pattern of Na4CaBr6. It was derived from a cell relaxed with GGA-PBE, using a wavelength of 1.5418 Å.
Lines closer than 0.1° are merged.

Main lines, most intense first (5° ≤ 2θ ≤ 70°):
d [Å]	Rel. int.
3.216	100
2.978	74
2.846	48
2.056	45
1.732	32
3.464	32
3.066	27
3.485	27

```
Na4CaBr6
1.0
2.0556 -7.0621 0.0000
2.0556 7.0621 0.0000
0.0000 0.0000 21.6747
Na Ca Br
8 2 12
direct
0.0960 0.9040 0.6268
0.0960 0.9040 0.8732
0.3600 0.6400 0.5398
0.3600 0.6400 0.9602
0.6400 0.3600 0.0398
0.6400 0.3600 0.4602
0.9040 0.0960 0.1268
0.9040 0.0960 0.3732
0.1509 0.8491 0.2500
0.8491 0.1509 0.7500
0.0000 0.0000 0.0000
0.0000 0.0000 0.5000
0.2013 0.7987 0.7500
0.2730 0.7270 0.0857
0.2730 0.7270 0.4143
0.4453 0.5547 0.6671
0.4453 0.5547 0.8329
0.5547 0.4453 0.1671
0.5547 0.4453 0.3329
0.7270 0.2730 0.5857
0.7270 0.2730 0.9143
0.7987 0.2013 0.2500
```



(8)
The following is a calculated powder X-ray diffraction pattern of CeBeH6. It was derived from a cell relaxed with GGA-PBE, using a wavelength of 1.5418 Å.
Lines closer than 0.1° are merged.

Main lines, most intense first (5° ≤ 2θ ≤ 70°):
d [Å]	Rel. int.
3.866	100
3.008	98
3.903	51
2.545	40
2.386	27
1.934	26
1.638	20
2.520	20

```
CeBeH6
1.0
2.5796 -3.0141 0.0000
2.5796 3.0141 0.0000
-0.8565 0.0000 3.9029
Ce Be H
1 1 6
direct
0.0000 0.0000 0.0000
0.5000 0.5000 0.5000
0.2087 0.2087 0.5532
0.2129 0.5582 0.2118
0.4418 0.7871 0.7882
0.5582 0.2129 0.2118
0.7871 0.4418 0.7882
0.7913 0.7913 0.4468
```



(9)
The following is a calculated powder X-ray diffraction pattern of Y3Zn3Ge. It was derived from a cell relaxed with GGA-PBE, using a wavelength of 1.5418 Å.
Lines closer than 0.1° are merged.

Main lines, most intense first (5° ≤ 2θ ≤ 70°):
d [Å]	Rel. int.
2.771	100
2.742	51
2.263	44
2.101	29
2.468	25
2.004	25
2.128	23
1.500	23

```
Y3Zn3Ge
1.0
-2.0036 2.1006 9.3982
2.0036 -2.1006 9.3982
2.0036 2.1006 -9.3982
Y Zn Ge
3 3 1
direct
0.0000 0.0000 0.0000
0.3748 0.3748 0.0000
0.6955 0.1955 0.5000
0.1226 0.6226 0.5000
0.5471 0.5471 0.0000
0.8332 0.8332 0.0000
0.2543 0.7543 0.5000
```



(10)
The following is a calculated powder X-ray diffraction pattern of As3Pb2. It was derived from a cell relaxed with GGA-PBE, using a wavelength of 1.5418 Å.
Lines closer than 0.1° are merged.

Main lines, most intense first (5° ≤ 2θ ≤ 70°):
d [Å]	Rel. int.
2.645	100
2.680	98
2.522	96
2.862	79
3.020	77
3.135	49
1.540	42
3.711	36

```
As3Pb2
1.0
0.0000 7.7505 3.0799
5.3335 0.0000 3.0799
5.3335 7.7505 0.0000
As Pb
6 4
direct
0.0000 0.0000 0.0000
0.2500 0.2500 0.2500
0.5087 0.8826 0.2603
0.8826 0.5087 0.3484
0.9016 0.9897 0.3674
0.9897 0.9016 0.7413
0.3140 0.5600 0.7661
0.4839 0.8901 0.9360
0.5600 0.3140 0.3599
0.8901 0.4839 0.6900
```



(11)
The following is a calculated powder X-ray diffraction pattern of ScNi2HAu. It was derived from a cell relaxed with GGA-PBE, using a wavelength of 1.5418 Å.
Lines closer than 0.1° are merged.

Main lines, most intense first (5° ≤ 2θ ≤ 70°):
d [Å]	Rel. int.
2.272	100
3.869	32
2.807	31
1.935	31
1.403	21
2.039	18
1.593	12
4.077	10

```
ScNi2HAu
1.0
3.8692 0.0000 0.0000
0.0000 3.8692 0.0000
0.0000 0.0000 4.0775
Sc Ni H Au
1 2 1 1
direct
0.0000 0.0000 0.0000
0.0000 0.5000 0.5000
0.5000 0.0000 0.5000
0.0000 0.0000 0.5000
0.5000 0.5000 0.0000
```



(12)
The following is a calculated powder X-ray diffraction pattern of Pr6ErTm2. It was derived from a cell relaxed with GGA-PBE, using a wavelength of 1.5418 Å.
Lines closer than 0.1° are merged.

Main lines, most intense first (5° ≤ 2θ ≤ 70°):
d [Å]	Rel. int.
2.861	100
3.029	62
2.945	59
2.982	49
2.460	33
2.415	29
1.698	22
1.679	22

```
Pr6ErTm2
1.0
8.2316 -5.9643 0.0000
8.2316 5.9643 0.0000
-0.6920 0.0000 6.2448
Pr Er Tm
12 2 4
direct
0.0915 0.8111 0.9866
0.1440 0.4245 0.1534
0.1889 0.9085 0.5134
0.2410 0.5222 0.6805
0.4245 0.1440 0.6534
0.4778 0.7590 0.8195
0.5222 0.2410 0.1805
0.5755 0.8560 0.3466
0.7590 0.4778 0.3195
0.8111 0.0915 0.4866
0.8560 0.5755 0.8466
0.9085 0.1889 0.0134
0.3988 0.6012 0.2500
0.6012 0.3988 0.7500
0.0649 0.2680 0.5836
0.2680 0.0649 0.0836
0.7320 0.9351 0.9164
0.9351 0.7320 0.4164
```